Simulated X-ray powder pattern of MgHgW2O8 for Cu Kα X-rays, from a DFT-relaxed cell (GGA+U, Alexandria).
Neutral-atom scattering factors, no anomalous dispersion.

Largest 8 diffraction maxima, most intense first, 15° ≤ 2θ ≤ 90°:
| d (Å) | intensity |
| --- | --- |
| 2.865 | 100 |
| 3.549 | 95 |
| 1.888 | 66 |
| 4.976 | 29 |
| 2.510 | 24 |
| 2.889 | 20 |
| 1.293 | 17 |
| 1.565 | 17 |

Atomic structure:
```
12
Lattice="-3.5491 3.5491 3.4887 3.5491 -3.5491 3.4887 3.5491 3.5491 -3.4887" Properties=species:S:1:pos:R:3 pbc="T T T"
Mg 0.0000 0.0000 0.0000
Hg 0.0000 3.5491 1.7444
W 3.5491 0.0000 1.7444
W 0.0000 0.0000 3.4887
O 2.0474 0.0000 0.7019
O 5.0508 0.0000 0.7019
O 3.5491 2.1439 -1.1356
O 3.5491 -1.5017 2.7868
O 0.0000 1.4052 2.3531
O 3.5491 1.5017 2.7868
O 2.1439 3.5491 1.1356
O 1.4052 0.0000 4.6244
```